# 1
The following is a simulated X-ray diffraction stick pattern of LaPm4Sc2. It was derived from a DFT-relaxed cell (PBE, Alexandria), using Cu Kα (λ = 1.5418 Å).

Atomic structure:
Cell lengths 3.5865, 15.2592, 17.0130 Å; angles 90.00, 90.07, 90.00 degrees
Space group C2/c (No. 15)
Asymmetric unit:
La  0.0000  0.0998  0.2500 [4 per cell]
Pm  0.0005  0.3294  0.5734 [8 per cell]
Pm  0.0019  0.0629  0.9153 [8 per cell]
Sc  0.0000  0.2254  0.7500 [4 per cell]
Sc  0.0000  0.4293  0.2500 [4 per cell]

Main lines, low angle first (5 to 70 degrees two-theta):
Position (°2θ), I/Imax, index
23.91, 17, 0 4 1
28.19, 100, 0 4 3
30.06, 78, 1 1 3
30.50, 23, 1 3 0
31.55, 62, 0 0 6
32.30, 34, 1 3 2
34.44, 66, 1 3 3
36.89, 17, 0 6 2
38.74, 16, 1 5 0
44.46, 18, 1 3 6
50.92, 17, 2 0 0
59.22, 25, 2 4 3

---

# 2
The following is a simulated X-ray diffraction stick pattern of Tb3Np2Ru6. It was derived from a DFT-relaxed cell (PBE, Alexandria), using Cu Kα (λ = 1.5418 Å).

Atomic structure:
Cell lengths 9.5354, 9.5354, 9.5354 Å; angles 90.00, 90.00, 90.00 degrees
Space group Im-3m (No. 229)
Asymmetric unit:
Tb  0.0000  0.0000  0.2870 [12 per cell]
Np  0.2500  0.2500  0.2500 [8 per cell]
Ru  0.0000  0.3474  0.3474 [24 per cell]

Main lines, low angle first (5 to 70 degrees two-theta):
Position (°2θ), I/Imax, index
18.61, 15, 2 0 0
29.63, 15, 3 1 0
32.53, 74, 2 2 2
35.22, 26, 3 2 1
37.74, 33, 4 0 0
40.12, 100, 3 3 0
42.39, 46, 4 2 0
46.67, 21, 4 2 2
54.43, 15, 4 4 0
61.50, 14, 6 2 0
64.86, 36, 6 2 2
68.13, 17, 4 4 4

---

# 3
The following is a simulated X-ray diffraction stick pattern of PrNp2O11. It was derived from a DFT-relaxed cell (PBE, Alexandria), using Cu Kα (λ = 1.5418 Å).

Atomic structure:
Cell lengths 7.5077, 8.3568, 8.4563 Å; angles 94.35, 102.23, 103.11 degrees
Space group P1 (No. 1)
Asymmetric unit:
Pr  0.0000  0.0000  0.0000 [1 per cell]
Pr  0.4008  0.6821  0.4015 [1 per cell]
Np  0.4144  0.1857  0.3976 [1 per cell]
Np  0.4517  0.6668  0.9093 [1 per cell]
Np  0.9344  0.0163  0.4905 [1 per cell]
Np  0.9342  0.4873  0.0331 [1 per cell]
O  0.0003  0.7218  0.0588 [1 per cell]
O  0.0968  0.7667  0.7194 [1 per cell]
O  0.1126  0.8078  0.5713 [1 per cell]
O  0.1384  0.4993  0.2144 [1 per cell]
O  0.1458  0.1919  0.4987 [1 per cell]
O  0.2157  0.5175  0.8962 [1 per cell]
O  0.2388  0.8651  0.8459 [1 per cell]
O  0.2796  0.1744  0.1753 [1 per cell]
O  0.3453  0.9452  0.3615 [1 per cell]
O  0.4104  0.6382  0.6794 [1 per cell]
O  0.4814  0.4221  0.4224 [1 per cell]
O  0.4951  0.6893  0.1388 [1 per cell]
O  0.5247  0.1795  0.6099 [1 per cell]
O  0.6658  0.8439  0.9233 [1 per cell]
O  0.6942  0.4957  0.9110 [1 per cell]
O  0.7147  0.8476  0.4806 [1 per cell]
O  0.7494  0.2118  0.3988 [1 per cell]
O  0.7522  0.4175  0.2378 [1 per cell]
O  0.8571  0.3525  0.3508 [1 per cell]
O  0.8934  0.2543  0.9945 [1 per cell]
O  0.9158  0.9682  0.2654 [1 per cell]
O  0.9653  0.0581  0.7194 [1 per cell]

Main lines, low angle first (5 to 70 degrees two-theta):
Position (°2θ), I/Imax, index
14.40, 61, 0 1 -1
16.39, 91, 0 1 1
19.18, 42, 1 1 -1
21.69, 77, 0 0 2
22.35, 39, 1 0 -2
22.46, 100, 1 -2 0
25.06, 88, 2 0 0
25.16, 30, -2 1 1
28.02, 45, 1 2 0
29.13, 48, 2 0 -2
31.49, 35, 1 -2 2
31.79, 31, 1 2 -2

---

# 4
The following is a simulated X-ray diffraction stick pattern of ZrBiCl. It was derived from a DFT-relaxed cell (PBE, Alexandria), using Cu Kα (λ = 1.5418 Å).

Atomic structure:
Cell lengths 15.2986, 6.7156, 10.9002 Å; angles 90.00, 118.34, 90.00 degrees
Space group Cc (No. 9)
Asymmetric unit:
Zr  0.0000  0.0287  0.0000 [4 per cell]
Zr  0.1794  0.4041  0.5694 [4 per cell]
Zr  0.2435  0.0863  0.1610 [4 per cell]
Bi  0.1201  0.3096  0.2587 [4 per cell]
Bi  0.3379  0.1802  0.5107 [4 per cell]
Bi  0.3930  0.3964  0.1775 [4 per cell]
Cl  0.1144  0.2488  0.9350 [4 per cell]
Cl  0.2596  0.2291  0.7975 [4 per cell]
Cl  0.4947  0.1617  0.9783 [4 per cell]

Main lines, low angle first (5 to 70 degrees two-theta):
Position (°2θ), I/Imax, index
15.65, 95, 1 1 -1
23.85, 63, 3 1 0
28.71, 100, 3 1 -3
28.89, 50, 3 1 1
29.20, 67, 2 2 -1
31.61, 37, 2 2 -2
34.45, 84, 1 1 3
35.20, 71, 6 0 -2
35.63, 42, 3 1 -4
35.74, 71, 4 2 -1
35.86, 42, 3 1 2
36.43, 37, 2 2 -3

---

# 5
The following is a simulated X-ray diffraction stick pattern of TlAg2Pt2. It was derived from a DFT-relaxed cell (PBE, Alexandria), using Cu Kα (λ = 1.5418 Å).

Atomic structure:
Cell lengths 6.9949, 6.9949, 3.9828 Å; angles 90.00, 90.00, 90.00 degrees
Space group P4/mbm (No. 127)
Asymmetric unit:
Tl  0.0000  0.0000  0.0000 [2 per cell]
Ag  0.1609  0.3391  0.5000 [4 per cell]
Pt  0.1344  0.6344  0.0000 [4 per cell]

Main lines, low angle first (5 to 70 degrees two-theta):
Position (°2θ), I/Imax, index
22.32, 26, 0 0 1
28.53, 6, 2 1 0
34.12, 18, 2 0 1
36.33, 7, 2 2 0
36.52, 100, 2 1 1
40.79, 49, 3 1 0
45.55, 21, 0 0 2
46.99, 20, 3 1 1
52.46, 10, 3 2 1
59.06, 6, 4 2 0
59.20, 5, 4 1 1
62.78, 28, 3 1 2

---

# 6
The following is a simulated X-ray diffraction stick pattern of EuZrF6. It was derived from a DFT-relaxed cell (PBE, Alexandria), using Cu Kα (λ = 1.5418 Å).

Atomic structure:
Cell lengths 7.6782, 11.0520, 5.4147 Å; angles 90.00, 90.00, 90.00 degrees
Space group Cmme (No. 67)
Asymmetric unit:
Eu  0.0000  0.2500  0.0392 [4 per cell]
Zr  0.2500  0.0000  0.5000 [4 per cell]
F  0.0000  0.0781  0.3466 [8 per cell]
F  0.1883  0.1278  0.7627 [16 per cell]

Main lines, low angle first (5 to 70 degrees two-theta):
Position (°2θ), I/Imax, index
23.00, 100, 0 2 1
28.31, 45, 2 2 0
28.50, 41, 2 0 1
39.80, 8, 3 1 1
43.69, 36, 2 4 1
44.09, 31, 2 2 2
46.99, 21, 0 4 2
47.36, 9, 4 0 0
52.47, 8, 0 6 1
53.28, 20, 4 2 1
55.32, 14, 2 6 0
56.33, 8, 2 0 3

---

# 7
The following is a simulated X-ray diffraction stick pattern of Na8Cd2Bi. It was derived from a DFT-relaxed cell (PBE, Alexandria), using Cu Kα (λ = 1.5418 Å).

Atomic structure:
Cell lengths 5.3596, 8.0506, 9.3383 Å; angles 115.46, 106.53, 90.02 degrees
Space group P1 (No. 1)
Asymmetric unit:
Na  0.0000  0.0000  0.0000 [1 per cell]
Na  0.0381  0.5523  0.0790 [1 per cell]
Na  0.1970  0.0503  0.3962 [1 per cell]
Na  0.3564  0.8690  0.7141 [1 per cell]
Na  0.3952  0.3940  0.7931 [1 per cell]
Na  0.5870  0.2680  0.1737 [1 per cell]
Na  0.6969  0.7293  0.3961 [1 per cell]
Na  0.8108  0.4949  0.6232 [1 per cell]
Cd  0.5387  0.8201  0.0777 [1 per cell]
Cd  0.8552  0.1380  0.7135 [1 per cell]
Bi  0.1981  0.4572  0.3971 [1 per cell]

Main lines, low angle first (5 to 70 degrees two-theta):
Position (°2θ), I/Imax, index
19.94, 100, 0 1 -2
22.08, 16, 0 2 -1
23.53, 32, 1 0 -2
32.49, 70, 1 2 0
33.44, 19, 2 0 -1
33.60, 13, 0 0 3
37.50, 26, 1 3 -2
39.21, 11, 2 -1 1
39.31, 21, 1 1 2
39.40, 11, 1 1 -4
51.13, 13, 2 3 -4
59.15, 9, 3 2 -1

---

# 8
The following is a simulated X-ray diffraction stick pattern of CeTaNi2Ge2. It was derived from a DFT-relaxed cell (PBE, Alexandria), using Cu Kα (λ = 1.5418 Å).

Atomic structure:
Cell lengths 4.1570, 4.1570, 6.8298 Å; angles 90.00, 90.00, 120.00 degrees
Space group P-3m1 (No. 164)
Asymmetric unit:
Ce  0.0000  0.0000  0.0000 [1 per cell]
Ta  0.0000  0.0000  0.5000 [1 per cell]
Ni  0.3333  0.6667  0.6615 [2 per cell]
Ge  0.3333  0.6667  0.2741 [2 per cell]

Main lines, low angle first (5 to 70 degrees two-theta):
Position (°2θ), I/Imax, index
12.96, 19, 0 0 1
24.73, 23, 1 0 0
36.26, 100, 0 1 2
43.54, 60, 1 1 0
45.62, 5, 1 1 1
47.24, 9, 0 1 3
50.72, 3, 2 0 0
51.47, 3, 1 1 2
53.68, 4, 0 0 4
57.91, 26, 2 0 2
59.96, 11, 1 0 4
66.18, 3, 2 0 3